For SrTaFe2O6, a crystal structure in Alexandria, relaxed with GGA+U gives the calculated PXRD pattern in this record (Cu Kα X-rays).

```
data_SrTaFe2O6
_chemical_formula_sum 'Sr1 Ta1 Fe2 O6'
_cell_length_a 5.4075
_cell_length_b 5.4086
_cell_length_c 5.8713
_cell_angle_alpha 116.54
_cell_angle_beta 90.89
_cell_angle_gamma 119.81
_space_group_name_H-M_alt 'P 1'
_space_group_IT_number 1
loop_
_space_group_symop_operation_xyz
'x,y,z'
loop_
_atom_site_label
_atom_site_type_symbol
_atom_site_fract_x
_atom_site_fract_y
_atom_site_fract_z
_atom_site_occupancy
Sr1 Sr 0.0000 0.0000 0.0000 1
Ta1 Ta 0.4819 0.9567 0.4326 1
Fe1 Fe 0.2768 0.5478 0.8148 1
Fe2 Fe 0.7821 0.5598 0.3382 1
O1 O 0.0756 0.6874 0.1513 1
O2 O 0.2067 0.7476 0.6067 1
O3 O 0.4645 0.5371 0.1433 1
O4 O 0.5584 0.4036 0.6037 1
O5 O 0.6199 0.0835 0.1534 1
O6 O 0.8568 0.0435 0.6017 1
```

Peak list (10 most intense, 2θ = 10–90°, in order of falling intensity)
| two_theta | I_rel | index |
| --- | --- | --- |
| 30.7 | 100 | 1 0 1 |
| 33.1 | 89 | 2 -1 0 |
| 22.2 | 62 | 0 1 0 |
| 30.3 | 52 | -1 1 1 |
| 33.0 | 45 | 1 1 -1 |
| 45.4 | 38 | 0 2 0 |
| 22.6 | 30 | 1 -1 1 |
| 49.6 | 29 | 1 1 -3 |
| 19.9 | 28 | 1 0 0 |
| 59.1 | 28 | 3 0 -1 |